This entry pairs a crystal structure of Ca2Ag6Pd with its calculated powder diffraction line list. Radiation: Cu Kα, 1.54184 Å. Structure: the GGA-PBE geometry in Alexandria.
Kinematic intensities with the Lorentz-polarization factor, no thermal factor.

Structure:
```
data_Ca2Ag6Pd
_symmetry_space_group_name_H-M 'C 1 2/m 1'
_symmetry_Int_Tables_number 12
_cell_length_a 14.471
_cell_length_b 4.844
_cell_length_c 5.403
_cell_angle_alpha 90.00
_cell_angle_beta 102.07
_cell_angle_gamma 90.00
loop_
_symmetry_equiv_pos_as_xyz
'x,y,z'
'-x,-y,-z'
'-x,y,-z'
'x,-y,z'
'x+1/2,y+1/2,z'
'-x+1/2,-y+1/2,-z'
'-x+1/2,y+1/2,-z'
'x+1/2,-y+1/2,z'
loop_
_atom_site_label
_atom_site_fract_x
_atom_site_fract_y
_atom_site_fract_z
_atom_site_occupancy
Ca1 0.078 0.000 0.307 1
Ag1 0.098 0.500 0.986 1
Ag2 0.200 0.000 0.870 1
Ag3 0.201 0.500 0.563 1
Pd1 0.000 0.500 0.500 1
```

Top 10 peaks for 15 to 90 degrees two-theta, sorted by position:
hkl	2theta	intensity
1 1 0	19.4	428
4 0 1	33.3	417
3 1 1	33.6	175
0 0 2	33.9	189
0 2 0	37.1	665
5 1 -1	37.7	1000
1 1 -2	38.2	965
6 0 -1	38.4	199
5 1 1	43.5	492
4 2 1	50.7	244